The following is a calculated powder XRD pattern of Mn2CrPt9. It was derived from the GGA-PBE geometry in Alexandria, using λ = 1.5418 Å (Cu Kα).

Principal peaks in the range 10 to 80 degrees two-theta, by intensity:
| 2theta | Rel. int. | hkl |
| --- | --- | --- |
| 39.76 | 100 | 1 1 3 |
| 46.24 | 49 | 2 0 0 |
| 67.46 | 32 | 2 2 0 |
| 22.64 | 14 | 1 0 0 |
| 32.24 | 12 | 1 1 0 |
| 52.08 | 7 | 2 1 0 |
| 57.49 | 5 | 2 1 3 |
| 72.16 | 3 | 3 0 0 |
| 76.71 | 2 | 3 1 0 |
| 76.85 | 1 | 1 0 9 |

Structure:
```
data_Mn2CrPt9
_cell_length_a 3.9292
_cell_length_b 3.9292
_cell_length_c 11.7657
_cell_angle_alpha 90.00
_cell_angle_beta 90.00
_cell_angle_gamma 90.00
_symmetry_space_group_name_H-M 'P 4/m m m'
_symmetry_Int_Tables_number 123
_symmetry_space_group_name_Hall '-P 4 2'
loop_
_atom_site_label
_atom_site_type_symbol
_atom_site_fract_x
_atom_site_fract_y
_atom_site_fract_z
Mn1 Mn 0.0000 0.0000 0.1667
Cr1 Cr 0.0000 0.0000 0.5000
Pt1 Pt 0.0000 0.5000 0.0000
Pt2 Pt 0.0000 0.5000 0.3350
Pt3 Pt 0.5000 0.5000 0.1671
Pt4 Pt 0.5000 0.5000 0.5000
```


The following is a calculated powder XRD pattern of Ti2Nb3Re3. It was derived from the GGA-PBE geometry in Alexandria, using λ = 1.5418 Å (Cu Kα).

Principal peaks in the range 10 to 80 degrees two-theta, by intensity:
| 2theta | Rel. int. | hkl |
| --- | --- | --- |
| 39.95 | 100 | 1 1 0 |
| 72.52 | 25 | 3 0 0 |
| 27.95 | 19 | 1 0 4 |
| 57.77 | 17 | 2 0 8 |
| 72.61 | 8 | 1 0 16 |
| 65.38 | 8 | 1 1 12 |
| 49.46 | 6 | 0 0 12 |
| 24.15 | 5 | 0 0 6 |
| 12.02 | 3 | 0 0 3 |
| 47.22 | 3 | 1 1 6 |

Structure:
```
data_Ti2Nb3Re3
_cell_length_a 4.5162
_cell_length_b 4.5162
_cell_length_c 22.0917
_cell_angle_alpha 90.00
_cell_angle_beta 90.00
_cell_angle_gamma 120.00
_symmetry_space_group_name_H-M 'R 3 m'
_symmetry_Int_Tables_number 160
_symmetry_space_group_name_Hall 'R 3 -2"'
loop_
_atom_site_label
_atom_site_type_symbol
_atom_site_fract_x
_atom_site_fract_y
_atom_site_fract_z
Ti1 Ti 0.0000 0.0000 0.0000
Ti2 Ti 0.0000 0.0000 0.4944
Nb1 Nb 0.0000 0.0000 0.2453
Nb2 Nb 0.0000 0.0000 0.6218
Nb3 Nb 0.0000 0.0000 0.7487
Re1 Re 0.0000 0.0000 0.1221
Re2 Re 0.0000 0.0000 0.3719
Re3 Re 0.0000 0.0000 0.8728
```


The following is a calculated powder XRD pattern of Ac5Pr2Nd12. It was derived from the GGA-PBE geometry in Alexandria, using λ = 1.5418 Å (Cu Kα).

Principal peaks in the range 10 to 80 degrees two-theta, by intensity:
| 2theta | Rel. int. | hkl |
| --- | --- | --- |
| 28.95 | 100 | 4 2 -1 |
| 34.86 | 43 | 2 2 2 |
| 32.39 | 35 | 8 0 -2 |
| 29.94 | 33 | 6 0 1 |
| 29.68 | 31 | 2 0 -3 |
| 48.49 | 17 | 10 2 0 |
| 48.14 | 15 | 6 2 -4 |
| 55.67 | 15 | 12 2 -3 |
| 31.98 | 13 | 0 2 2 |
| 58.52 | 12 | 6 4 1 |

Structure:
```
data_Ac5Pr2Nd12
_cell_length_a 23.1738
_cell_length_b 7.4338
_cell_length_c 9.0675
_cell_angle_alpha 90.00
_cell_angle_beta 110.18
_cell_angle_gamma 90.00
_symmetry_space_group_name_H-M 'C 1 2/m 1'
_symmetry_Int_Tables_number 12
loop_
_symmetry_equiv_pos_as_xyz
'x,y,z'
'-x,-y,-z'
'-x,y,-z'
'x,-y,z'
'x+1/2,y+1/2,z'
'-x+1/2,-y+1/2,-z'
'-x+1/2,y+1/2,-z'
'x+1/2,-y+1/2,z'
loop_
_atom_site_label
_atom_site_type_symbol
_atom_site_fract_x
_atom_site_fract_y
_atom_site_fract_z
Ac1 Ac 0.0000 0.0000 0.0000
Ac2 Ac 0.1532 0.5000 0.5884
Ac3 Ac 0.2460 0.0000 0.9874
Pr1 Pr 0.0000 0.2545 0.5000
Nd1 Nd 0.0472 0.5000 0.1898
Nd2 Nd 0.1060 0.2621 0.8780
Nd3 Nd 0.1444 0.0000 0.5610
Nd4 Nd 0.1983 0.2530 0.2887
```